Computed powder diffraction line list
Compound: Sr4CdIn
Radiation: Cu Kα
Structure: a PBE-relaxed structure
Neutral-atom scattering factors, no anomalous dispersion.

Atomic structure:
```
data_Sr4CdIn
_cell_length_a 4.126
_cell_length_b 4.126
_cell_length_c 14.281
_cell_angle_alpha 90.00
_cell_angle_beta 90.00
_cell_angle_gamma 90.00
_space_group_name_H-M_alt 'P 4/m m m'
_space_group_IT_number 123
_space_group_name_Hall '-P 4 2'
loop_
_atom_site_label
_atom_site_type_symbol
_atom_site_fract_x
_atom_site_fract_y
_atom_site_fract_z
Sr1 Sr 0.000 0.000 0.136
Sr2 Sr 0.500 0.500 0.363
Cd1 Cd 0.000 0.000 0.500
In1 In 0.500 0.500 0.000
```

Most intense lines, 15° ≤ 2θ ≤ 90°, low angle first:
- 2θ 28.6, rel. 100, hkl 1 0 3
- 2θ 30.6, rel. 51, hkl 1 1 0
- 2θ 38.3, rel. 23, hkl 1 0 5
- 2θ 43.9, rel. 19, hkl 2 0 0
- 2θ 49.4, rel. 11, hkl 1 1 6
- 2θ 53.2, rel. 34, hkl 2 1 3
- 2θ 59.7, rel. 12, hkl 2 1 5
- 2θ 60.8, rel. 11, hkl 1 1 8